Record 1
Starting from a PBE-relaxed structure, the XRD peak list of LaPm2NpN4 was computed for copper Kα.
Lines closer than 0.1° are merged.

Peak list (10 most intense, 10° ≤ 2θ ≤ 90°, by angle)
Position (°2θ), d (Å), Rel. int.
27.9, 3.201, 17
30.6, 2.919, 100
31.1, 2.872, 78
31.8, 2.818, 55
32.4, 2.765, 27
33.4, 2.686, 44
42.4, 2.129, 19
46.0, 1.974, 24
52.4, 1.747, 22
61.7, 1.503, 23

Atomic structure:
Lattice parameters (Å, degrees): 6.905 6.905 11.272 90.00 90.00 150.39
Positions (direct):
La: 0.233 0.767 0.750
La: 0.767 0.233 0.250
Pm: 0.374 0.626 0.016
Pm: 0.374 0.626 0.484
Pm: 0.626 0.374 0.516
Pm: 0.626 0.374 0.984
Np: 0.039 0.961 0.250
Np: 0.961 0.039 0.750
N: 0.000 0.000 0.000
N: 0.000 0.000 0.500
N: 0.200 0.800 0.117
N: 0.200 0.800 0.383
N: 0.433 0.567 0.250
N: 0.567 0.433 0.750
N: 0.800 0.200 0.617
N: 0.800 0.200 0.883

Record 2
Starting from a PBE-relaxed structure, the XRD peak list of LaPrNpN4 was computed for copper Kα.
Lines closer than 0.1° are merged.

Peak list (10 most intense, 10° ≤ 2θ ≤ 90°, by angle)
Position (°2θ), d (Å), Rel. int.
13.8, 6.430, 19
29.7, 3.005, 100
30.0, 2.979, 59
41.1, 2.195, 13
42.2, 2.143, 11
42.9, 2.107, 27
52.6, 1.740, 19
53.1, 1.725, 41
61.7, 1.502, 14
86.3, 1.127, 15

Atomic structure:
Lattice parameters (Å, degrees): 4.213 4.213 12.861 90.00 90.00 90.00
Positions (direct):
La: 0.000 0.000 0.000
La: 0.500 0.500 0.500
Pr: 0.000 0.000 0.704
Pr: 0.500 0.500 0.204
Np: 0.000 0.000 0.350
Np: 0.500 0.500 0.850
N: 0.000 0.000 0.180
N: 0.000 0.000 0.519
N: 0.000 0.500 0.346
N: 0.000 0.500 0.846
N: 0.500 0.000 0.346
N: 0.500 0.000 0.846
N: 0.500 0.500 0.019
N: 0.500 0.500 0.680